Calculated X-ray powder pattern
Compound: ThTc4Ge6
Radiation: copper Kα
Structure: a crystal structure in Alexandria, relaxed with GGA-PBE

Main lines, in order of rising 2θ (2θ from 15° to 90°):
d_spacing	intensity	hkl
2.823	100	2 1 1
2.810	50	1 0 3
2.698	82	2 0 2
2.342	51	2 2 0
2.148	88	3 0 1
2.142	80	2 1 3
2.084	44	1 1 4
1.582	44	3 2 3

Atomic structure:
Lattice parameters (Å, degrees): 6.6235 6.6235 9.3078 90.00 90.00 90.00
Space group I-42m (No. 121)
One atom of each set of equivalent atoms:
Th 0.0000 0.0000 0.0000 [2 per cell]
Tc 0.1651 0.1651 0.4124 [8 per cell]
Ge 0.0000 0.5000 0.0000 [4 per cell]
Ge 0.1868 0.1868 0.6991 [8 per cell]